TmScIrPb: computed PXRD pattern (Cu Kα, 1.54184 Å), based on the GGA-PBE geometry in Alexandria.
Peak positions follow from Bragg's law for the DFT cell and can differ from measured ones.

Atomic structure:
```
data_TmScIrPb
_chemical_formula_sum 'Tm1 Sc1 Ir1 Pb1'
_space_group_name_H-M_alt 'P 4 m m'
_space_group_IT_number 99
_space_group_name_Hall 'P 4 -2'
_cell_length_a 3.390
_cell_length_b 3.390
_cell_length_c 7.762
_cell_angle_alpha 90.00
_cell_angle_beta 90.00
_cell_angle_gamma 90.00
loop_
_atom_site_label
_atom_site_type_symbol
_atom_site_fract_x
_atom_site_fract_y
_atom_site_fract_z
_atom_site_occupancy
Tm1 Tm 0.000 0.000 0.000 1
Sc1 Sc 0.000 0.000 0.594 1
Ir1 Ir 0.500 0.500 0.781 1
Pb1 Pb 0.500 0.500 0.312 1
```

Top 8 peaks for 2θ from 10° to 80°, most intense first:
35.1°, I 100, hkl 1 0 2; 37.5°, I 48, hkl 1 1 0; 66.2°, I 37, hkl 2 1 2; 54.1°, I 17, hkl 2 0 0; 28.7°, I 16, hkl 1 0 1; 61.5°, I 13, hkl 1 1 4; 22.9°, I 11, hkl 0 0 2; 26.3°, I 10, hkl 1 0 0

=====

K3GePCO7: computed PXRD pattern (Cu Kα, 1.54184 Å), based on the GGA-PBE geometry in Alexandria.
Peak positions follow from Bragg's law for the DFT cell and can differ from measured ones.

Atomic structure:
```
data_K3GePCO7
_chemical_formula_sum 'K6 Ge2 P2 C2 O14'
_space_group_name_H-M_alt 'P 1 21/m 1'
_space_group_IT_number 11
_space_group_name_Hall '-P 2yb'
_cell_length_a 6.202
_cell_length_b 7.178
_cell_length_c 9.786
_cell_angle_alpha 90.00
_cell_angle_beta 95.93
_cell_angle_gamma 90.00
loop_
_atom_site_label
_atom_site_type_symbol
_atom_site_fract_x
_atom_site_fract_y
_atom_site_fract_z
_atom_site_occupancy
K1 K 0.198 0.001 0.224 1
K2 K 0.295 0.250 0.580 1
Ge1 Ge 0.324 0.750 0.862 1
P1 P 0.290 0.250 0.904 1
C1 C 0.237 0.750 0.576 1
O1 O 0.043 0.250 0.899 1
O2 O 0.047 0.750 0.619 1
O3 O 0.269 0.750 0.449 1
O4 O 0.376 0.250 0.065 1
O5 O 0.378 0.075 0.834 1
O6 O 0.413 0.750 0.669 1
```

Top 8 peaks for 2θ from 10° to 80°, most intense first:
29.8°, I 100, hkl 1 2 -1; 30.7°, I 47, hkl 1 2 1; 31.0°, I 42, hkl 0 2 2; 24.8°, I 42, hkl 0 2 0; 32.5°, I 37, hkl 1 0 3; 28.9°, I 35, hkl 2 0 0; 45.0°, I 33, hkl 0 2 4; 51.2°, I 30, hkl 3 2 0

=====

HgTeOF2: computed PXRD pattern (Cu Kα, 1.54184 Å), based on the GGA-PBE geometry in Alexandria.
Peak positions follow from Bragg's law for the DFT cell and can differ from measured ones.

Atomic structure:
```
data_HgTeOF2
_chemical_formula_sum 'Hg1 Te1 O1 F2'
_space_group_name_H-M_alt 'P 4/m m m'
_space_group_IT_number 123
_space_group_name_Hall '-P 4 2'
_cell_length_a 4.628
_cell_length_b 4.628
_cell_length_c 4.092
_cell_angle_alpha 90.00
_cell_angle_beta 90.00
_cell_angle_gamma 90.00
loop_
_atom_site_label
_atom_site_type_symbol
_atom_site_fract_x
_atom_site_fract_y
_atom_site_fract_z
_atom_site_occupancy
Hg1 Hg 0.000 0.000 0.000 1
Te1 Te 0.500 0.500 0.500 1
O1 O 0.500 0.500 0.000 1
F1 F 0.000 0.500 0.500 1
```

Top 8 peaks for 2θ from 10° to 80°, most intense first:
29.1°, I 100, hkl 1 0 1; 27.3°, I 57, hkl 1 1 0; 49.3°, I 48, hkl 2 1 1; 38.9°, I 35, hkl 2 0 0; 52.8°, I 19, hkl 1 1 2; 60.4°, I 19, hkl 2 0 2; 78.0°, I 13, hkl 3 2 1; 44.3°, I 12, hkl 0 0 2

=====

BaO6: computed PXRD pattern (Cu Kα, 1.54184 Å), based on the GGA-PBE geometry in Alexandria.
Peak positions follow from Bragg's law for the DFT cell and can differ from measured ones.

Atomic structure:
```
data_BaO6
_chemical_formula_sum 'Ba4 O24'
_space_group_name_H-M_alt 'C 1 2/c 1'
_space_group_IT_number 15
_space_group_name_Hall '-C 2yc'
_cell_length_a 7.489
_cell_length_b 10.496
_cell_length_c 6.684
_cell_angle_alpha 90.00
_cell_angle_beta 93.66
_cell_angle_gamma 90.00
loop_
_atom_site_label
_atom_site_type_symbol
_atom_site_fract_x
_atom_site_fract_y
_atom_site_fract_z
_atom_site_occupancy
Ba1 Ba 0.000 0.179 0.250 1
O1 O 0.151 0.056 0.618 1
O2 O 0.191 0.291 0.958 1
O3 O 0.213 0.381 0.440 1
```

Top 8 peaks for 2θ from 10° to 80°, most intense first:
19.2°, I 100, hkl 1 1 -1; 20.3°, I 94, hkl 1 1 1; 14.5°, I 70, hkl 1 1 0; 31.6°, I 63, hkl 2 2 -1; 38.7°, I 45, hkl 3 1 -1; 36.8°, I 40, hkl 0 4 1; 16.9°, I 39, hkl 0 2 0; 21.5°, I 37, hkl 0 2 1

=====

Pm3GaCo: computed PXRD pattern (Cu Kα, 1.54184 Å), based on the GGA-PBE geometry in Alexandria.
Peak positions follow from Bragg's law for the DFT cell and can differ from measured ones.

Atomic structure:
```
data_Pm3GaCo
_chemical_formula_sum 'Pm6 Ga2 Co2'
_space_group_name_H-M_alt 'P -1'
_space_group_IT_number 2
_space_group_name_Hall '-P 1'
_cell_length_a 3.760
_cell_length_b 8.370
_cell_length_c 8.492
_cell_angle_alpha 88.96
_cell_angle_beta 89.99
_cell_angle_gamma 77.03
loop_
_atom_site_label
_atom_site_type_symbol
_atom_site_fract_x
_atom_site_fract_y
_atom_site_fract_z
_atom_site_occupancy
Pm1 Pm 0.048 0.404 0.190 1
Pm2 Pm 0.251 0.999 0.799 1
Pm3 Pm 0.398 0.707 0.453 1
Ga1 Ga 0.390 0.720 0.079 1
Co1 Co 0.216 0.068 0.448 1
```

Top 8 peaks for 2θ from 10° to 80°, most intense first:
30.7°, I 100, hkl 0 2 -2; 32.2°, I 44, hkl 1 1 2; 31.6°, I 31, hkl 0 0 3; 30.9°, I 31, hkl 1 2 -1; 33.0°, I 24, hkl 0 3 0; 36.5°, I 23, hkl 1 3 0; 48.4°, I 23, hkl 2 1 0; 40.3°, I 21, hkl 1 1 -3

=====

BaNaMn2Br8: computed PXRD pattern (Cu Kα, 1.54184 Å), based on the GGA-PBE geometry in Alexandria.
Peak positions follow from Bragg's law for the DFT cell and can differ from measured ones.

Atomic structure:
```
data_BaNaMn2Br8
_chemical_formula_sum 'Ba1 Na1 Mn2 Br8'
_space_group_name_H-M_alt 'P -3 m 1'
_space_group_IT_number 164
_space_group_name_Hall '-P 3 2"'
_cell_length_a 7.7805
_cell_length_b 7.7805
_cell_length_c 9.2619
_cell_angle_alpha 90.00
_cell_angle_beta 90.00
_cell_angle_gamma 120.00
loop_
_atom_site_label
_atom_site_type_symbol
_atom_site_fract_x
_atom_site_fract_y
_atom_site_fract_z
_atom_site_occupancy
Ba1 Ba 0.0000 0.0000 0.0000 1
Na1 Na 0.0000 0.0000 0.5000 1
Mn1 Mn 0.3333 0.6667 0.1862 1
Br1 Br 0.1615 0.3229 0.2732 1
Br2 Br 0.3333 0.6667 0.9292 1
```

Top 8 peaks for 2θ from 10° to 80°, most intense first:
28.2°, I 100, hkl 0 2 1; 24.8°, I 93, hkl 1 1 1; 46.7°, I 65, hkl 2 2 0; 32.9°, I 64, hkl 2 0 2; 16.3°, I 64, hkl 1 0 1; 30.0°, I 62, hkl 1 1 2; 31.9°, I 55, hkl 1 0 3; 46.2°, I 41, hkl 2 1 3

=====

Hg7ClO4: computed PXRD pattern (Cu Kα, 1.54184 Å), based on the GGA-PBE geometry in Alexandria.
Peak positions follow from Bragg's law for the DFT cell and can differ from measured ones.

Atomic structure:
```
data_Hg7ClO4
_chemical_formula_sum 'Hg14 Cl2 O8'
_space_group_name_H-M_alt 'P 1 21 1'
_space_group_IT_number 4
_space_group_name_Hall 'P 2yb'
_cell_length_a 5.936
_cell_length_b 6.925
_cell_length_c 13.895
_cell_angle_alpha 90.00
_cell_angle_beta 96.50
_cell_angle_gamma 90.00
loop_
_atom_site_label
_atom_site_type_symbol
_atom_site_fract_x
_atom_site_fract_y
_atom_site_fract_z
_atom_site_occupancy
Hg1 Hg 0.001 0.000 0.017 1
Hg2 Hg 0.023 0.199 0.773 1
Hg3 Hg 0.168 0.912 0.451 1
Hg4 Hg 0.294 0.314 0.370 1
Hg5 Hg 0.376 0.291 0.185 1
Hg6 Hg 0.377 0.188 0.667 1
Hg7 Hg 0.454 0.202 0.897 1
Cl1 Cl 0.168 0.643 0.809 1
O1 O 0.165 0.199 0.503 1
O2 O 0.174 0.727 0.101 1
O3 O 0.258 0.253 0.029 1
O4 O 0.262 0.680 0.366 1
```

Top 8 peaks for 2θ from 10° to 80°, most intense first:
33.0°, I 100, hkl 2 1 0; 28.9°, I 99, hkl 0 2 2; 31.5°, I 99, hkl 1 0 4; 31.3°, I 98, hkl 1 1 -4; 19.8°, I 97, hkl 1 1 0; 14.3°, I 72, hkl 0 1 1; 29.0°, I 58, hkl 1 1 3; 30.3°, I 53, hkl 2 0 -1

=====

Ac2SmScO6: computed PXRD pattern (Cu Kα, 1.54184 Å), based on the GGA-PBE geometry in Alexandria.
Peak positions follow from Bragg's law for the DFT cell and can differ from measured ones.

Atomic structure:
```
data_Ac2SmScO6
_chemical_formula_sum 'Ac4 Sm2 Sc2 O12'
_space_group_name_H-M_alt 'P 1 21/c 1'
_space_group_IT_number 14
_space_group_name_Hall '-P 2ybc'
_cell_length_a 5.974
_cell_length_b 6.135
_cell_length_c 10.404
_cell_angle_alpha 90.00
_cell_angle_beta 124.62
_cell_angle_gamma 90.00
loop_
_atom_site_label
_atom_site_type_symbol
_atom_site_fract_x
_atom_site_fract_y
_atom_site_fract_z
_atom_site_occupancy
Ac1 Ac 0.237 0.047 0.250 1
Sm1 Sm 0.500 0.000 0.000 1
Sc1 Sc 0.000 0.000 0.500 1
O1 O 0.129 0.212 0.939 1
O2 O 0.230 0.692 0.943 1
O3 O 0.348 0.044 0.739 1
```

Top 8 peaks for 2θ from 10° to 80°, most intense first:
29.4°, I 100, hkl 1 1 1; 29.6°, I 99, hkl 1 1 -3; 42.2°, I 65, hkl 0 0 4; 29.9°, I 47, hkl 2 0 -2; 20.8°, I 44, hkl 0 0 2; 29.1°, I 43, hkl 0 2 0; 52.7°, I 33, hkl 3 1 -1; 53.0°, I 23, hkl 3 1 -5

=====

PmCdF6: computed PXRD pattern (Cu Kα, 1.54184 Å), based on the GGA-PBE geometry in Alexandria.
Peak positions follow from Bragg's law for the DFT cell and can differ from measured ones.

Atomic structure:
```
data_PmCdF6
_chemical_formula_sum 'Pm3 Cd3 F18'
_space_group_name_H-M_alt 'R -3'
_space_group_IT_number 148
_space_group_name_Hall '-R 3'
_cell_length_a 5.7571
_cell_length_b 5.7571
_cell_length_c 15.6949
_cell_angle_alpha 90.00
_cell_angle_beta 90.00
_cell_angle_gamma 120.00
loop_
_atom_site_label
_atom_site_type_symbol
_atom_site_fract_x
_atom_site_fract_y
_atom_site_fract_z
_atom_site_occupancy
Pm1 Pm 0.0000 0.0000 0.0000 1
Cd1 Cd 0.0000 0.0000 0.5000 1
F1 F 0.0094 0.3881 0.2488 1
```

Top 8 peaks for 2θ from 10° to 80°, most intense first:
21.1°, I 100, hkl 0 1 2; 29.0°, I 33, hkl 1 0 4; 46.9°, I 29, hkl 2 -1 6; 31.1°, I 20, hkl 1 1 0; 43.0°, I 18, hkl 0 2 4; 49.8°, I 17, hkl 3 -2 2; 54.0°, I 13, hkl 3 -1 4; 37.9°, I 13, hkl 2 0 2

=====

Pa2IO8: computed PXRD pattern (Cu Kα, 1.54184 Å), based on the GGA-PBE geometry in Alexandria.
Peak positions follow from Bragg's law for the DFT cell and can differ from measured ones.

Atomic structure:
```
data_Pa2IO8
_chemical_formula_sum 'Pa4 I2 O16'
_space_group_name_H-M_alt 'C 1 m 1'
_space_group_IT_number 8
_space_group_name_Hall 'C -2y'
_cell_length_a 9.340
_cell_length_b 7.158
_cell_length_c 4.703
_cell_angle_alpha 90.00
_cell_angle_beta 108.69
_cell_angle_gamma 90.00
loop_
_atom_site_label
_atom_site_type_symbol
_atom_site_fract_x
_atom_site_fract_y
_atom_site_fract_z
_atom_site_occupancy
Pa1 Pa 0.000 0.000 0.000 1
Pa2 Pa 0.175 0.500 0.304 1
I1 I 0.338 0.000 0.652 1
O1 O 0.196 0.189 0.387 1
O2 O 0.201 0.000 0.890 1
O3 O 0.263 0.500 0.860 1
O4 O 0.412 0.500 0.446 1
O5 O 0.474 0.000 0.415 1
O6 O 0.479 0.189 0.917 1
```

Top 8 peaks for 2θ from 10° to 80°, most intense first:
28.1°, I 100, hkl 1 1 1; 23.4°, I 86, hkl 2 0 -1; 24.9°, I 77, hkl 0 2 0; 32.8°, I 58, hkl 3 1 0; 34.4°, I 42, hkl 2 2 -1; 40.5°, I 39, hkl 1 1 -2; 45.8°, I 34, hkl 1 3 1; 49.1°, I 25, hkl 3 3 0

=====

Li6MgSn2: computed PXRD pattern (Cu Kα, 1.54184 Å), based on the GGA-PBE geometry in Alexandria.
Peak positions follow from Bragg's law for the DFT cell and can differ from measured ones.

Atomic structure:
```
data_Li6MgSn2
_chemical_formula_sum 'Li12 Mg2 Sn4'
_space_group_name_H-M_alt 'P n n m'
_space_group_IT_number 58
_space_group_name_Hall '-P 2 2n'
_cell_length_a 8.301
_cell_length_b 8.411
_cell_length_c 4.631
_cell_angle_alpha 90.00
_cell_angle_beta 90.00
_cell_angle_gamma 90.00
loop_
_atom_site_label
_atom_site_type_symbol
_atom_site_fract_x
_atom_site_fract_y
_atom_site_fract_z
_atom_site_occupancy
Li1 Li 0.015 0.172 0.000 1
Li2 Li 0.160 0.071 0.500 1
Li3 Li 0.186 0.388 0.500 1
Mg1 Mg 0.000 0.500 0.000 1
Sn1 Sn 0.153 0.727 0.500 1
```

Top 8 peaks for 2θ from 10° to 80°, most intense first:
24.4°, I 100, hkl 1 1 1; 23.9°, I 69, hkl 2 1 0; 21.1°, I 42, hkl 0 2 0; 37.9°, I 39, hkl 3 0 1; 30.7°, I 36, hkl 1 2 1; 39.1°, I 33, hkl 1 3 1; 46.2°, I 25, hkl 2 1 2; 43.8°, I 24, hkl 3 2 1

=====

BaDyS2F: computed PXRD pattern (Cu Kα, 1.54184 Å), based on the GGA-PBE geometry in Alexandria.
Peak positions follow from Bragg's law for the DFT cell and can differ from measured ones.

Atomic structure:
```
data_BaDyS2F
_chemical_formula_sum 'Ba2 Dy2 S4 F2'
_space_group_name_H-M_alt 'P 4/n m m'
_space_group_IT_number 129
_cell_length_a 4.089
_cell_length_b 4.089
_cell_length_c 14.536
_cell_angle_alpha 90.00
_cell_angle_beta 90.00
_cell_angle_gamma 90.00
loop_
_space_group_symop_operation_xyz
'x,y,z'
'-x,-y,-z'
'-y+1/2,x,z'
'y+1/2,-x,-z'
'-x+1/2,-y+1/2,z'
'x+1/2,y+1/2,-z'
'y,-x+1/2,z'
'-y,x+1/2,-z'
'x+1/2,-y,-z'
'-x+1/2,y,z'
'-y,-x,-z'
'y,x,z'
'-x,y+1/2,-z'
'x,-y+1/2,z'
'y+1/2,x+1/2,-z'
'-y+1/2,-x+1/2,z'
loop_
_atom_site_label
_atom_site_type_symbol
_atom_site_fract_x
_atom_site_fract_y
_atom_site_fract_z
_atom_site_occupancy
Ba1 Ba 0.250 0.250 0.115 1
Dy1 Dy 0.250 0.250 0.613 1
S1 S 0.250 0.250 0.412 1
S2 S 0.250 0.250 0.783 1
F1 F 0.250 0.750 0.000 1
```

Top 8 peaks for 2θ from 10° to 80°, most intense first:
25.0°, I 100, hkl 1 0 2; 30.9°, I 56, hkl 1 1 0; 39.8°, I 43, hkl 1 1 4; 43.4°, I 32, hkl 1 0 6; 24.5°, I 29, hkl 0 0 4; 51.5°, I 29, hkl 2 1 2; 44.3°, I 25, hkl 2 0 0; 63.8°, I 21, hkl 2 1 6